Diffraction record for NbIn3Br8. The X-ray diffraction stick pattern is calculated, not measured: it uses the GGA-PBE geometry in Alexandria and a wavelength of 1.5418 Å.

Most intense lines, 2θ = 10–90°, in order of falling intensity:
2theta, I/Imax
26.23, 100
13.03, 70
30.75, 54
38.60, 53
42.36, 38
32.60, 36
17.88, 35
14.10, 21
23.76, 20
36.25, 19

Structure:
```
data_NbIn3Br8
_chemical_formula_sum 'Nb2 In6 Br16'
_symmetry_space_group_name_H-M 'P 1'
_symmetry_Int_Tables_number 1
_cell_length_a 9.330
_cell_length_b 9.330
_cell_length_c 12.566
_cell_angle_alpha 90.00
_cell_angle_beta 90.00
_cell_angle_gamma 120.00
loop_
_symmetry_equiv_pos_as_xyz
'x,y,z'
loop_
_atom_site_label
_atom_site_type_symbol
_atom_site_fract_x
_atom_site_fract_y
_atom_site_fract_z
Nb1 Nb 0.333 0.667 0.000
Nb2 Nb 0.667 0.333 0.500
In1 In 0.174 0.348 0.712
In2 In 0.174 0.826 0.712
In3 In 0.348 0.174 0.212
In4 In 0.652 0.826 0.712
In5 In 0.826 0.174 0.212
In6 In 0.826 0.652 0.212
Br1 Br 0.000 0.000 0.313
Br2 Br 0.000 0.000 0.813
Br3 Br 0.075 0.537 0.884
Br4 Br 0.204 0.407 0.123
Br5 Br 0.204 0.796 0.123
Br6 Br 0.333 0.667 0.576
Br7 Br 0.407 0.204 0.623
Br8 Br 0.463 0.537 0.884
Br9 Br 0.463 0.925 0.884
Br10 Br 0.537 0.075 0.384
Br11 Br 0.537 0.463 0.384
Br12 Br 0.593 0.796 0.123
Br13 Br 0.667 0.333 0.076
Br14 Br 0.796 0.204 0.623
Br15 Br 0.796 0.593 0.623
Br16 Br 0.925 0.463 0.384
```